(1)
Theoretical X-ray diffraction stick pattern
Compound: Pu4PbO12
Radiation: λ = 1.5418 Å (Cu Kα)
Structure: the PBE geometry in Alexandria

Peak list (10 most intense, 2θ from 15° to 90°, sorted by position)
Position (°2θ)	d/Å	Rel. int.	(hkl)
15.1	5.879	20.1	1 1 0
21.2	4.183	67.2	0 2 0
21.5	4.131	31.9	2 0 0
30.2	2.958	50.3	0 2 2
30.4	2.939	100.0	2 2 0
37.4	2.405	15.2	2 2 2
43.3	2.091	29.6	0 0 4
53.8	1.704	43.8	2 4 2
54.2	1.693	22.3	4 2 2
63.3	1.470	17.9	4 0 4

Crystal structure
a = 8.263 Å, b = 8.362 Å, c = 8.369 Å
α = 90.00°, β = 90.00°, γ = 90.00°
Space group Immm (No. 71)
Symmetry-distinct sites (fractional):
1 Pu 0.250 0.250 0.250
2 Pb 0.000 0.000 0.000
3 O 0.000 0.270 0.268
4 O 0.217 0.000 0.244
5 O 0.220 0.244 0.000

***

(2)
Theoretical X-ray diffraction stick pattern
Compound: Y12Tm6Mg
Radiation: λ = 1.5418 Å (Cu Kα)
Structure: the PBE geometry in Alexandria

Peak list (10 most intense, 2θ from 15° to 90°, sorted by position)
Position (°2θ)	d/Å	Rel. int.	(hkl)
16.0	5.547	36.1	0 1 2
29.1	3.071	41.5	1 0 4
29.6	3.014	28.9	1 3 1
31.9	2.805	100.0	0 3 3
32.1	2.790	60.9	3 1 2
32.8	2.731	95.3	4 0 1
35.0	2.561	19.6	0 4 2
49.3	1.849	26.9	3 0 6
57.9	1.593	25.1	4 3 4
87.1	1.119	16.8	4 7 3

Crystal structure
a = 12.9111 Å, b = 12.9111 Å, c = 12.7761 Å
α = 90.00°, β = 90.00°, γ = 120.00°
Space group R-3m (No. 166, hexagonal axes)
Symmetry-distinct sites (fractional):
1 Y 0.0000 0.2613 0.0000
2 Y 0.0539 0.5270 0.1136
3 Tm 0.0901 0.1801 0.7717
4 Mg 0.0000 0.0000 0.0000

***

(3)
Theoretical X-ray diffraction stick pattern
Compound: Cs3PaBr8
Radiation: λ = 1.5418 Å (Cu Kα)
Structure: the PBE geometry in Alexandria

Peak list (10 most intense, 2θ from 15° to 90°, sorted by position)
Position (°2θ)	d/Å	Rel. int.	(hkl)
19.1	4.642	70.7	1 1 1
31.5	2.843	100.0	2 2 0
33.4	2.680	10.8	3 0 0
37.1	2.424	35.1	3 1 1
40.4	2.230	19.1	3 2 0
45.1	2.010	13.7	4 0 0
49.4	1.845	21.3	3 3 1
56.0	1.641	24.1	4 2 2
59.8	1.547	12.3	5 1 1
77.9	1.226	9.7	5 3 3

Crystal structure
a = 8.041 Å, b = 8.041 Å, c = 8.041 Å
α = 90.00°, β = 90.00°, γ = 90.00°
Space group Pm-3m (No. 221)
Symmetry-distinct sites (fractional):
1 Cs 0.000 0.000 0.500
2 Pa 0.500 0.500 0.500
3 Br 0.290 0.290 0.290

***

(4)
Theoretical X-ray diffraction stick pattern
Compound: Dy2HoThAs4
Radiation: λ = 1.5418 Å (Cu Kα)
Structure: the PBE geometry in Alexandria

Peak list (10 most intense, 2θ from 15° to 90°, sorted by position)
Position (°2θ)	d/Å	Rel. int.	(hkl)
26.3	3.389	28.8	2 0 0
30.5	2.935	100.0	1 1 1
43.6	2.077	37.6	0 2 0
43.6	2.074	37.5	2 0 2
51.6	1.770	12.1	3 1 1
54.1	1.695	20.0	0 0 4
63.4	1.468	12.4	2 2 2
72.0	1.312	28.4	0 2 4
80.0	1.200	8.6	3 3 -1
80.1	1.198	14.9	4 2 -4

Crystal structure
a = 7.182 Å, b = 4.159 Å, c = 7.185 Å
α = 90.00°, β = 109.48°, γ = 90.00°
Space group P2/m (No. 10)
Symmetry-distinct sites (fractional):
1 Dy 0.000 0.000 0.000
2 Dy 0.500 0.500 0.000
3 Ho 0.000 0.500 0.500
4 Th 0.500 0.000 0.500
5 As 0.244 0.500 0.245
6 As 0.247 0.000 0.751

***

(5)
Theoretical X-ray diffraction stick pattern
Compound: Li2La2ErIn5
Radiation: λ = 1.5418 Å (Cu Kα)
Structure: the PBE geometry in Alexandria

Peak list (10 most intense, 2θ from 15° to 90°, sorted by position)
Position (°2θ)	d/Å	Rel. int.	(hkl)
27.3	3.268	57.0	2 1 1
31.1	2.873	42.9	2 2 1
33.5	2.677	100.0	3 1 1
35.5	2.530	46.5	4 1 0
36.7	2.446	23.5	3 2 1
38.6	2.332	20.7	4 2 0
39.3	2.290	31.0	0 0 2
54.0	1.698	27.3	4 1 2
66.6	1.404	16.5	7 1 1
67.6	1.386	15.2	3 1 3

Crystal structure
a = 10.430 Å, b = 10.430 Å, c = 4.581 Å
α = 90.00°, β = 90.00°, γ = 90.00°
Space group P4/mbm (No. 127)
Symmetry-distinct sites (fractional):
1 Li 0.115 0.385 0.000
2 La 0.180 0.680 0.000
3 Er 0.000 0.000 0.000
4 In 0.000 0.500 0.500
5 In 0.064 0.210 0.500

***

(6)
Theoretical X-ray diffraction stick pattern
Compound: SmGa2I5
Radiation: λ = 1.5418 Å (Cu Kα)
Structure: the PBE geometry in Alexandria

Peak list (10 most intense, 2θ from 15° to 90°, sorted by position)
Position (°2θ)	d/Å	Rel. int.	(hkl)
16.3	5.448	35.3	2 0 -2
24.6	3.612	98.3	2 2 -1
25.3	3.526	100.0	3 1 1
25.6	3.475	95.5	1 1 -3
32.2	2.782	65.2	4 2 -2
32.5	2.755	59.7	5 1 0
33.1	2.706	59.5	3 1 -4
38.4	2.342	87.1	1 3 2
40.0	2.251	43.2	2 0 4
45.8	1.983	25.7	2 4 -1

Crystal structure
a = 15.858 Å, b = 8.224 Å, c = 11.639 Å
α = 90.00°, β = 112.80°, γ = 90.00°
Space group Cc (No. 9)
Symmetry-distinct sites (fractional):
1 Sm 0.000 0.000 0.000
2 Ga 0.110 0.476 0.204
3 Ga 0.389 0.025 0.795
4 I 0.000 0.154 0.750
5 I 0.091 0.315 0.460
6 I 0.187 0.160 0.141
7 I 0.313 0.341 0.859
8 I 0.409 0.185 0.540

***

(7)
Theoretical X-ray diffraction stick pattern
Compound: VNi8Ir2
Radiation: λ = 1.5418 Å (Cu Kα)
Structure: the PBE geometry in Alexandria

Peak list (10 most intense, 2θ from 15° to 90°, sorted by position)
Position (°2θ)	d/Å	Rel. int.	(hkl)
16.1	5.512	8.5	0 0 1
34.0	2.640	8.5	3 1 -1
43.5	2.081	100.0	1 1 2
50.2	1.818	16.1	4 0 -3
50.5	1.806	16.0	0 2 0
51.2	1.783	16.8	6 0 1
74.0	1.281	9.6	4 2 -3
74.5	1.273	9.3	2 0 4
74.8	1.269	9.3	6 2 1
89.6	1.094	11.7	3 1 -5

Crystal structure
a = 12.940 Å, b = 3.613 Å, c = 5.737 Å
α = 90.00°, β = 106.11°, γ = 90.00°
Space group C2/m (No. 12)
Symmetry-distinct sites (fractional):
1 V 0.000 0.000 0.000
2 Ni 0.045 0.500 0.731
3 Ni 0.088 0.000 0.445
4 Ni 0.131 0.500 0.178
5 Ni 0.180 0.000 0.914
6 Ir 0.224 0.500 0.638

***

(8)
Theoretical X-ray diffraction stick pattern
Compound: TbPmDy2
Radiation: λ = 1.5418 Å (Cu Kα)
Structure: the PBE geometry in Alexandria

Peak list (10 most intense, 2θ from 15° to 90°, sorted by position)
Position (°2θ)	d/Å	Rel. int.	(hkl)
30.7	2.915	100.0	1 0 4
35.6	2.525	50.6	0 1 8
51.2	1.785	36.1	1 1 0
60.8	1.523	32.2	1 1 12
60.9	1.521	10.6	0 1 20
63.8	1.458	9.3	2 0 8
75.3	1.262	5.7	0 2 16
83.4	1.159	8.9	2 1 4
86.1	1.130	8.3	1 2 8
86.2	1.128	8.2	1 1 24

Crystal structure
a = 3.5732 Å, b = 3.5732 Å, c = 34.9257 Å
α = 90.00°, β = 90.00°, γ = 120.00°
Space group R-3m (No. 166, hexagonal axes)
Symmetry-distinct sites (fractional):
1 Tb 0.0000 0.0000 0.0000
2 Pm 0.0000 0.0000 0.5000
3 Dy 0.0000 0.0000 0.2508

***

(9)
Theoretical X-ray diffraction stick pattern
Compound: Sr2HgHRh
Radiation: λ = 1.5418 Å (Cu Kα)
Structure: the PBE geometry in Alexandria

Peak list (10 most intense, 2θ from 15° to 90°, sorted by position)
Position (°2θ)	d/Å	Rel. int.	(hkl)
21.0	4.240	34.9	0 0 2
28.2	3.160	44.0	2 0 0
29.2	3.058	78.9	0 1 2
29.4	3.042	98.9	1 1 -2
34.9	2.570	53.0	2 1 0
35.4	2.533	99.8	1 1 2
35.8	2.506	100.0	2 1 -2
39.2	2.299	36.2	2 1 1
40.3	2.237	47.5	1 0 -4
40.9	2.208	57.4	0 2 0

Crystal structure
a = 6.671 Å, b = 4.415 Å, c = 8.950 Å
α = 90.00°, β = 108.66°, γ = 90.00°
Space group P2_1/m (No. 11)
Symmetry-distinct sites (fractional):
1 Sr 0.231 0.250 0.402
2 Sr 0.245 0.250 0.968
3 Hg 0.315 0.750 0.704
4 H 0.152 0.750 0.158
5 Rh 0.416 0.750 0.230

***

(10)
Theoretical X-ray diffraction stick pattern
Compound: Ag4GeSe4
Radiation: λ = 1.5418 Å (Cu Kα)
Structure: the PBE geometry in Alexandria

Peak list (10 most intense, 2θ from 15° to 90°, sorted by position)
Position (°2θ)	d/Å	Rel. int.	(hkl)
23.8	3.732	73.9	1 1 2
24.9	3.572	78.5	2 2 0
28.0	3.183	59.9	3 1 1
33.2	2.695	45.2	3 1 2
38.3	2.349	28.2	0 4 0
41.3	2.188	50.3	0 0 4
43.2	2.092	100.0	3 3 2
43.4	2.087	24.5	4 2 2
47.2	1.924	37.6	5 1 2
48.8	1.866	21.9	2 2 4

Crystal structure
a = 11.004 Å, b = 9.395 Å, c = 8.752 Å
α = 90.00°, β = 90.00°, γ = 90.00°
Space group Cmcm (No. 63)
Symmetry-distinct sites (fractional):
1 Ag 0.139 0.236 0.250
2 Ag 0.182 0.000 0.000
3 Ge 0.000 0.340 0.750
4 Se 0.000 0.192 0.523
5 Se 0.185 0.481 0.750